Entry 1:
Diffraction record for Cu2Bi3O8. The powder XRD pattern is simulated, not measured: it uses DFT lattice parameters and positions (PBE) and CuKα.

Cell and atoms:
```
data_Cu2Bi3O8
_cell_length_a 6.0044
_cell_length_b 6.0044
_cell_length_c 17.5898
_cell_angle_alpha 90.00
_cell_angle_beta 90.00
_cell_angle_gamma 120.00
_symmetry_space_group_name_H-M 'R -3 m'
_symmetry_Int_Tables_number 166
_symmetry_space_group_name_Hall '-R 3 2"'
loop_
_atom_site_label
_atom_site_fract_x
_atom_site_fract_y
_atom_site_fract_z
Cu1 0.0000 0.0000 0.0831
Bi1 0.0000 0.0000 0.3078
Bi2 0.0000 0.0000 0.5000
O1 0.0000 0.0000 0.1883
O2 0.0272 0.5136 0.2685
```

The 8 most intense peaks (2θ from 10° to 80°), sorted by position:
17.8°, 4.987 Å, intensity 29; 29.8°, 3.002 Å, intensity 100; 30.7°, 2.914 Å, intensity 71; 43.1°, 2.097 Å, intensity 16; 43.3°, 2.091 Å, intensity 36; 52.8°, 1.733 Å, intensity 20; 53.4°, 1.716 Å, intensity 34; 61.8°, 1.501 Å, intensity 16

=====

Entry 2:
Diffraction record for Cu2BiO4. The powder XRD pattern is simulated, not measured: it uses DFT lattice parameters and positions (PBE) and CuKα.

Cell and atoms:
```
data_Cu2BiO4
_cell_length_a 5.925
_cell_length_b 5.925
_cell_length_c 5.215
_cell_angle_alpha 90.00
_cell_angle_beta 90.00
_cell_angle_gamma 90.00
_symmetry_space_group_name_H-M 'I 4 2 2'
_symmetry_Int_Tables_number 97
_symmetry_space_group_name_Hall 'I 4 2'
loop_
_atom_site_label
_atom_site_fract_x
_atom_site_fract_y
_atom_site_fract_z
Cu1 0.000 0.500 0.000
Bi1 0.000 0.000 0.000
O1 0.171 0.329 0.750
```

The 8 most intense peaks (2θ from 10° to 80°), sorted by position:
22.7°, 3.915 Å, intensity 100; 30.2°, 2.963 Å, intensity 56; 34.4°, 2.608 Å, intensity 16; 38.1°, 2.362 Å, intensity 58; 43.2°, 2.095 Å, intensity 30; 46.4°, 1.957 Å, intensity 52; 56.3°, 1.633 Å, intensity 22; 58.9°, 1.567 Å, intensity 16

=====

Entry 3:
Diffraction record for CuBiOsO6. The powder XRD pattern is simulated, not measured: it uses DFT lattice parameters and positions (PBE) and CuKα.

Cell and atoms:
```
data_CuBiOsO6
_cell_length_a 6.857
_cell_length_b 7.161
_cell_length_c 9.947
_cell_angle_alpha 90.00
_cell_angle_beta 90.00
_cell_angle_gamma 90.00
_symmetry_space_group_name_H-M 'I m m a'
_symmetry_Int_Tables_number 74
_symmetry_space_group_name_Hall '-I 2b 2'
loop_
_atom_site_label
_atom_site_fract_x
_atom_site_fract_y
_atom_site_fract_z
Cu1 0.250 0.250 0.250
Bi1 0.000 0.250 0.635
Os1 0.000 0.000 0.000
O1 0.000 0.250 0.439
O2 0.000 0.250 0.952
O3 0.194 0.038 0.132
```

The 8 most intense peaks (2θ from 10° to 80°), sorted by position:
25.4°, 3.509 Å, intensity 45; 26.0°, 3.428 Å, intensity 28; 29.5°, 3.024 Å, intensity 100; 29.9°, 2.985 Å, intensity 49; 30.3°, 2.953 Å, intensity 45; 30.8°, 2.906 Å, intensity 25; 31.7°, 2.823 Å, intensity 25; 52.1°, 1.755 Å, intensity 44

=====

Entry 4:
Diffraction record for CuBiP2O8. The powder XRD pattern is simulated, not measured: it uses DFT lattice parameters and positions (PBE) and CuKα.

Cell and atoms:
```
data_CuBiP2O8
_cell_length_a 5.458
_cell_length_b 6.196
_cell_length_c 10.735
_cell_angle_alpha 90.00
_cell_angle_beta 97.87
_cell_angle_gamma 90.00
_symmetry_space_group_name_H-M 'P 1 21/m 1'
_symmetry_Int_Tables_number 11
loop_
_symmetry_equiv_pos_as_xyz
'x,y,z'
'-x,-y,-z'
'-x,y+1/2,-z'
'x,-y+1/2,z'
loop_
_atom_site_label
_atom_site_fract_x
_atom_site_fract_y
_atom_site_fract_z
Cu1 0.179 0.250 0.174
Bi1 0.429 0.250 0.705
P1 0.061 0.750 0.099
P2 0.353 0.750 0.607
O1 0.081 0.750 0.957
O2 0.206 0.250 0.877
O3 0.214 0.551 0.650
O4 0.224 0.557 0.164
O5 0.357 0.750 0.464
O6 0.367 0.250 0.334
```

The 8 most intense peaks (2θ from 10° to 80°), sorted by position:
16.6°, 5.354 Å, intensity 55; 16.7°, 5.317 Å, intensity 64; 19.4°, 4.573 Å, intensity 36; 21.8°, 4.079 Å, intensity 100; 22.6°, 3.942 Å, intensity 32; 24.2°, 3.679 Å, intensity 51; 28.8°, 3.098 Å, intensity 55; 29.0°, 3.082 Å, intensity 53

=====

Entry 5:
Diffraction record for Cu3Bi2P2O14. The powder XRD pattern is simulated, not measured: it uses DFT lattice parameters and positions (PBE) and CuKα.

Cell and atoms:
```
data_Cu3Bi2P2O14
_cell_length_a 13.482
_cell_length_b 6.116
_cell_length_c 9.502
_cell_angle_alpha 90.00
_cell_angle_beta 131.01
_cell_angle_gamma 90.00
_symmetry_space_group_name_H-M 'C 1 2/m 1'
_symmetry_Int_Tables_number 12
loop_
_symmetry_equiv_pos_as_xyz
'x,y,z'
'-x,-y,-z'
'-x,y,-z'
'x,-y,z'
'x+1/2,y+1/2,z'
'-x+1/2,-y+1/2,-z'
'-x+1/2,y+1/2,-z'
'x+1/2,-y+1/2,z'
loop_
_atom_site_label
_atom_site_fract_x
_atom_site_fract_y
_atom_site_fract_z
Cu1 0.000 0.000 0.000
Cu2 0.250 0.250 0.000
Bi1 0.168 0.500 0.232
P1 0.205 0.500 0.658
O1 0.000 0.296 0.000
O2 0.120 0.500 0.448
O3 0.140 0.000 0.936
O4 0.148 0.000 0.261
O5 0.158 0.500 0.981
O6 0.182 0.287 0.725
```

The 8 most intense peaks (2θ from 10° to 80°), sorted by position:
12.3°, 7.170 Å, intensity 64; 13.2°, 6.724 Å, intensity 44; 17.4°, 5.087 Å, intensity 56; 18.7°, 4.741 Å, intensity 30; 24.2°, 3.680 Å, intensity 43; 30.1°, 2.966 Å, intensity 100; 32.2°, 2.784 Å, intensity 53; 41.3°, 2.187 Å, intensity 45

=====

Entry 6:
Diffraction record for Cu2BiPO6. The powder XRD pattern is simulated, not measured: it uses DFT lattice parameters and positions (PBE) and CuKα.

Cell and atoms:
```
data_Cu2BiPO6
_cell_length_a 12.051
_cell_length_b 5.182
_cell_length_c 7.959
_cell_angle_alpha 90.00
_cell_angle_beta 90.00
_cell_angle_gamma 90.00
_symmetry_space_group_name_H-M 'P n m a'
_symmetry_Int_Tables_number 62
loop_
_symmetry_equiv_pos_as_xyz
'x,y,z'
'-x,-y,-z'
'-x+1/2,-y,z+1/2'
'x+1/2,y,-z+1/2'
'x+1/2,-y+1/2,-z+1/2'
'-x+1/2,y+1/2,z+1/2'
'-x,y+1/2,-z'
'x,-y+1/2,z'
loop_
_atom_site_label
_atom_site_fract_x
_atom_site_fract_y
_atom_site_fract_z
Cu1 0.067 0.250 0.183
Cu2 0.090 0.250 0.814
Bi1 0.110 0.750 0.472
P1 0.198 0.750 0.044
O1 0.007 0.003 0.679
O2 0.126 0.000 0.010
O3 0.198 0.250 0.433
O4 0.230 0.750 0.232
```

The 8 most intense peaks (2θ from 10° to 80°), sorted by position:
13.3°, 6.641 Å, intensity 40; 21.8°, 4.086 Å, intensity 38; 29.7°, 3.013 Å, intensity 18; 30.3°, 2.949 Å, intensity 100; 32.0°, 2.796 Å, intensity 97; 34.6°, 2.591 Å, intensity 50; 37.4°, 2.402 Å, intensity 17; 49.8°, 1.832 Å, intensity 33

=====

Entry 7:
Diffraction record for CuBiP2O8. The powder XRD pattern is simulated, not measured: it uses DFT lattice parameters and positions (PBE) and CuKα.

Cell and atoms:
```
data_CuBiP2O8
_cell_length_a 5.1797
_cell_length_b 5.1797
_cell_length_c 6.6318
_cell_angle_alpha 90.00
_cell_angle_beta 90.00
_cell_angle_gamma 120.00
_symmetry_space_group_name_H-M 'P -3 m 1'
_symmetry_Int_Tables_number 164
_symmetry_space_group_name_Hall '-P 3 2"'
loop_
_atom_site_label
_atom_site_fract_x
_atom_site_fract_y
_atom_site_fract_z
Cu1 0.0000 0.0000 0.0000
Bi1 0.0000 0.0000 0.5000
P1 0.3333 0.6667 0.7325
O1 0.1673 0.3346 0.7979
O2 0.3333 0.6667 0.4994
```

The 8 most intense peaks (2θ from 10° to 80°), sorted by position:
13.4°, 6.632 Å, intensity 29; 19.8°, 4.486 Å, intensity 100; 23.9°, 3.716 Å, intensity 42; 33.6°, 2.666 Å, intensity 71; 34.6°, 2.590 Å, intensity 49; 44.4°, 2.041 Å, intensity 33; 49.0°, 1.858 Å, intensity 36; 61.4°, 1.510 Å, intensity 26

=====

Entry 8:
Diffraction record for Pu2CuBiO8. The powder XRD pattern is simulated, not measured: it uses DFT lattice parameters and positions (PBE) and CuKα.

Cell and atoms:
```
data_Pu2CuBiO8
_cell_length_a 6.864
_cell_length_b 7.221
_cell_length_c 6.920
_cell_angle_alpha 90.00
_cell_angle_beta 90.00
_cell_angle_gamma 90.00
_symmetry_space_group_name_H-M 'C m m m'
_symmetry_Int_Tables_number 65
_symmetry_space_group_name_Hall '-C 2 2'
loop_
_atom_site_label
_atom_site_fract_x
_atom_site_fract_y
_atom_site_fract_z
Pu1 0.000 0.000 0.241
Cu1 0.000 0.500 0.000
Bi1 0.000 0.500 0.500
O1 0.000 0.179 0.500
O2 0.000 0.182 0.000
O3 0.209 0.500 0.229
```

The 8 most intense peaks (2θ from 10° to 80°), sorted by position:
17.8°, 4.975 Å, intensity 17; 24.7°, 3.610 Å, intensity 57; 26.0°, 3.432 Å, intensity 48; 31.5°, 2.841 Å, intensity 100; 36.1°, 2.487 Å, intensity 30; 47.9°, 1.899 Å, intensity 41; 49.4°, 1.845 Å, intensity 35; 62.1°, 1.495 Å, intensity 21